Computed PXRD pattern
Compound: Sr2YCo2O7
Radiation: Cu Kα, 1.54184 Å
Structure: DFT lattice parameters and positions (PBE+U)
Peak positions follow from Bragg's law for the DFT cell and can differ from measured ones.

Largest 12 diffraction maxima, most intense first, 2θ from 5° to 70°:
2θ/deg  intensity
32.49  100
7.34  36
47.99  29
33.24  22
58.92  20
33.61  18
27.81  18
59.39  13
45.18  13
57.47  12
68.03  12
57.23  11

Cell and atoms:
Cell: 12.623 12.623 12.623 Å, 155.34 34.96 155.61°
Fractional positions:
Sr: 0.216 0.042 0.174
Sr: 0.369 0.042 0.326
Sr: 0.631 0.958 0.674
Sr: 0.784 0.958 0.826
Y: 0.000 0.000 0.000
Y: 0.500 0.000 0.500
Co: 0.073 0.490 0.583
Co: 0.407 0.490 0.917
Co: 0.593 0.510 0.083
Co: 0.927 0.510 0.417
O: 0.118 0.461 0.656
O: 0.195 0.000 0.695
O: 0.195 0.500 0.195
O: 0.305 0.461 0.844
O: 0.313 0.000 0.813
O: 0.313 0.500 0.313
O: 0.500 0.000 0.000
O: 0.500 0.500 0.500
O: 0.687 0.000 0.187
O: 0.687 0.500 0.687
O: 0.695 0.539 0.156
O: 0.805 0.000 0.305
O: 0.805 0.500 0.805
O: 0.882 0.539 0.344


Computed PXRD pattern
Compound: Sr2Y2Co2O7
Radiation: Cu Kα, 1.54184 Å
Structure: DFT lattice parameters and positions (PBE+U)
Peak positions follow from Bragg's law for the DFT cell and can differ from measured ones.

Largest 12 diffraction maxima, most intense first, 2θ from 5° to 70°:
2θ/deg  intensity
31.83  100
46.06  31
32.35  29
37.57  26
7.33  15
57.36  13
56.76  12
44.45  8
44.09  8
27.03  8
23.75  7
61.18  7

Cell and atoms:
Cell: 12.681 12.681 12.681 Å, 36.22 154.42 154.79°
Fractional positions:
Sr: 0.021 0.140 0.161
Sr: 0.021 0.360 0.381
Sr: 0.979 0.640 0.619
Sr: 0.979 0.860 0.839
Y: 0.010 0.010 0.000
Y: 0.010 0.510 0.500
Y: 0.416 0.712 0.204
Y: 0.509 0.212 0.796
Co: 0.506 0.585 0.072
Co: 0.506 0.934 0.421
Co: 0.513 0.085 0.579
Co: 0.513 0.434 0.928
O: 0.011 0.332 0.802
O: 0.011 0.709 0.179
O: 0.014 0.194 0.701
O: 0.014 0.812 0.320
O: 0.137 0.812 0.825
O: 0.492 0.197 0.624
O: 0.492 0.368 0.795
O: 0.493 0.312 0.299
O: 0.493 0.694 0.680
O: 0.530 0.209 0.198
O: 0.530 0.832 0.821
O: 0.573 0.697 0.205
O: 0.573 0.868 0.376
O: 0.987 0.312 0.175


Computed PXRD pattern
Compound: Sr3ZnCoO6
Radiation: Cu Kα, 1.54184 Å
Structure: DFT lattice parameters and positions (PBE+U)
Peak positions follow from Bragg's law for the DFT cell and can differ from measured ones.

Largest 12 diffraction maxima, most intense first, 2θ from 5° to 70°:
2θ/deg  intensity
32.23  100
30.72  80
45.12  48
58.90  21
43.78  21
39.35  19
39.86  18
60.66  15
56.53  14
57.46  14
67.43  12
49.91  9

Cell and atoms:
Cell: 6.650 6.650 6.650 Å, 92.69 92.69 92.69°
Fractional positions:
Sr: 0.116 0.750 0.384
Sr: 0.250 0.616 0.884
Sr: 0.384 0.116 0.750
Sr: 0.616 0.884 0.250
Sr: 0.750 0.384 0.116
Sr: 0.884 0.250 0.616
Zn: 0.250 0.250 0.250
Zn: 0.750 0.750 0.750
Co: 0.000 0.000 0.000
Co: 0.500 0.500 0.500
O: 0.041 0.914 0.723
O: 0.086 0.277 0.959
O: 0.223 0.414 0.541
O: 0.277 0.959 0.086
O: 0.414 0.541 0.223
O: 0.459 0.777 0.586
O: 0.541 0.223 0.414
O: 0.586 0.459 0.777
O: 0.723 0.041 0.914
O: 0.777 0.586 0.459
O: 0.914 0.723 0.041
O: 0.959 0.086 0.277


Computed PXRD pattern
Compound: Sr3ZnCoO6
Radiation: Cu Kα, 1.54184 Å
Structure: DFT lattice parameters and positions (PBE+U)
Peak positions follow from Bragg's law for the DFT cell and can differ from measured ones.

Largest 12 diffraction maxima, most intense first, 2θ from 5° to 70°:
2θ/deg  intensity
32.09  100
31.89  48
29.44  42
31.39  40
43.28  28
44.91  24
38.31  21
46.10  20
30.49  19
30.52  19
67.15  16
56.95  14

Cell and atoms:
Cell: 6.582 9.436 9.724 Å, 93.28 91.66 94.17°
Fractional positions:
Sr: 0.114 0.067 0.317
Sr: 0.116 0.568 0.818
Sr: 0.246 0.746 0.138
Sr: 0.247 0.249 0.631
Sr: 0.382 0.430 0.316
Sr: 0.383 0.929 0.818
Sr: 0.617 0.071 0.182
Sr: 0.618 0.570 0.684
Sr: 0.753 0.751 0.369
Sr: 0.754 0.254 0.862
Sr: 0.884 0.432 0.182
Sr: 0.886 0.933 0.683
Zn: 0.245 0.256 0.994
Zn: 0.248 0.748 0.510
Zn: 0.752 0.252 0.490
Zn: 0.755 0.744 0.006
Co: 0.000 0.000 0.000
Co: 0.000 0.500 0.500
Co: 0.500 0.000 0.500
Co: 0.500 0.500 0.000
O: 0.029 0.818 0.901
O: 0.031 0.314 0.394
O: 0.107 0.627 0.343
O: 0.110 0.129 0.837
O: 0.211 0.476 0.057
O: 0.216 0.974 0.555
O: 0.264 0.004 0.069
O: 0.275 0.509 0.570
O: 0.420 0.393 0.831
O: 0.427 0.900 0.338
O: 0.467 0.697 0.914
O: 0.469 0.200 0.406
O: 0.531 0.800 0.594
O: 0.533 0.303 0.086
O: 0.573 0.100 0.662
O: 0.580 0.607 0.169
O: 0.725 0.491 0.430
O: 0.736 0.996 0.931
O: 0.784 0.026 0.445
O: 0.789 0.524 0.943
O: 0.890 0.871 0.163
O: 0.893 0.373 0.657
O: 0.969 0.686 0.606
O: 0.971 0.182 0.099


Computed PXRD pattern
Compound: Sr3ZnCoO6
Radiation: Cu Kα, 1.54184 Å
Structure: DFT lattice parameters and positions (PBE+U)
Peak positions follow from Bragg's law for the DFT cell and can differ from measured ones.

Largest 12 diffraction maxima, most intense first, 2θ from 5° to 70°:
2θ/deg  intensity
32.02  100
30.47  40
30.58  40
44.80  24
44.92  16
39.59  15
57.06  14
39.04  13
66.95  12
43.53  11
49.58  9
44.70  8

Cell and atoms:
Cell: 6.687 6.708 13.364 Å, 92.68 92.85 92.55°
Fractional positions:
Sr: 0.000 0.000 0.000
Sr: 0.000 0.004 0.504
Sr: 0.229 0.505 0.386
Sr: 0.232 0.497 0.885
Sr: 0.362 0.366 0.134
Sr: 0.367 0.367 0.637
Sr: 0.498 0.865 0.066
Sr: 0.501 0.869 0.571
Sr: 0.729 0.637 0.319
Sr: 0.733 0.635 0.819
Sr: 0.862 0.138 0.252
Sr: 0.870 0.136 0.752
Zn: 0.362 0.005 0.319
Zn: 0.366 0.001 0.819
Zn: 0.864 0.498 0.572
Zn: 0.869 0.502 0.065
Co: 0.114 0.753 0.193
Co: 0.117 0.749 0.694
Co: 0.614 0.253 0.444
Co: 0.617 0.250 0.944
O: 0.026 0.475 0.213
O: 0.027 0.464 0.714
O: 0.072 0.841 0.340
O: 0.075 0.834 0.828
O: 0.156 0.664 0.049
O: 0.159 0.667 0.558
O: 0.199 0.028 0.174
O: 0.210 0.039 0.673
O: 0.328 0.158 0.964
O: 0.339 0.170 0.463
O: 0.388 0.713 0.236
O: 0.396 0.708 0.738
O: 0.526 0.297 0.298
O: 0.533 0.293 0.809
O: 0.573 0.528 0.486
O: 0.577 0.531 0.989
O: 0.652 0.977 0.401
O: 0.658 0.970 0.899
O: 0.700 0.207 0.079
O: 0.703 0.210 0.588
O: 0.837 0.790 0.649
O: 0.840 0.795 0.152
O: 0.891 0.340 0.424
O: 0.903 0.339 0.923


Computed PXRD pattern
Compound: Ta2Co4O9
Radiation: Cu Kα, 1.54184 Å
Structure: DFT lattice parameters and positions (PBE+U)
Peak positions follow from Bragg's law for the DFT cell and can differ from measured ones.

Largest 12 diffraction maxima, most intense first, 2θ from 5° to 70°:
2θ/deg  intensity
31.92  100
34.44  72
19.68  58
47.67  37
60.12  35
51.98  34
61.70  23
23.31  20
42.93  15
68.81  13
55.23  9
39.98  8

Cell and atoms:
Cell: 5.208 5.208 14.315 Å, 90.00 90.00 120.00°
Fractional positions:
Ta: 0.000 0.000 0.143
Ta: 0.000 0.000 0.357
Ta: 0.000 0.000 0.643
Ta: 0.000 0.000 0.857
Co: 0.333 0.667 0.015
Co: 0.333 0.667 0.308
Co: 0.333 0.667 0.515
Co: 0.333 0.667 0.808
Co: 0.667 0.333 0.192
Co: 0.667 0.333 0.485
Co: 0.667 0.333 0.692
Co: 0.667 0.333 0.985
O: 0.000 0.288 0.250
O: 0.000 0.712 0.750
O: 0.022 0.342 0.916
O: 0.022 0.680 0.416
O: 0.288 0.000 0.250
O: 0.288 0.288 0.750
O: 0.320 0.342 0.416
O: 0.320 0.978 0.916
O: 0.342 0.022 0.584
O: 0.342 0.320 0.084
O: 0.658 0.680 0.916
O: 0.658 0.978 0.416
O: 0.680 0.022 0.084
O: 0.680 0.658 0.584
O: 0.712 0.000 0.750
O: 0.712 0.712 0.250
O: 0.978 0.320 0.584
O: 0.978 0.658 0.084


Computed PXRD pattern
Compound: Ta2CoO6
Radiation: Cu Kα, 1.54184 Å
Structure: DFT lattice parameters and positions (PBE+U)
Peak positions follow from Bragg's law for the DFT cell and can differ from measured ones.

Largest 12 diffraction maxima, most intense first, 2θ from 5° to 70°:
2θ/deg  intensity
26.23  100
34.69  79
51.95  64
37.43  25
20.85  24
65.77  19
66.92  17
53.97  17
60.98  16
19.28  10
32.76  9
43.23  7

Cell and atoms:
Cell: 4.805 4.805 9.206 Å, 90.00 90.00 90.00°
Fractional positions:
Ta: 0.000 0.000 0.169
Ta: 0.000 0.000 0.831
Ta: 0.500 0.500 0.331
Ta: 0.500 0.500 0.669
Co: 0.000 0.000 0.500
Co: 0.500 0.500 0.000
O: 0.188 0.188 0.000
O: 0.205 0.205 0.323
O: 0.205 0.205 0.677
O: 0.295 0.705 0.177
O: 0.295 0.705 0.823
O: 0.312 0.688 0.500
O: 0.688 0.312 0.500
O: 0.705 0.295 0.177
O: 0.705 0.295 0.823
O: 0.795 0.795 0.323
O: 0.795 0.795 0.677
O: 0.812 0.812 0.000


Computed PXRD pattern
Compound: Ta2Co4O9
Radiation: Cu Kα, 1.54184 Å
Structure: DFT lattice parameters and positions (PBE+U)
Peak positions follow from Bragg's law for the DFT cell and can differ from measured ones.

Largest 12 diffraction maxima, most intense first, 2θ from 5° to 70°:
2θ/deg  intensity
31.68  100
34.63  76
19.79  63
51.66  43
47.64  32
60.22  28
62.06  22
23.30  20
67.76  18
29.06  17
36.23  8
42.87  8

Cell and atoms:
Cell: 8.965 5.185 14.538 Å, 90.00 90.00 90.00°
Fractional positions:
Ta: 0.022 0.000 0.145
Ta: 0.022 0.000 0.645
Ta: 0.478 0.500 0.145
Ta: 0.478 0.500 0.645
Ta: 0.522 0.500 0.355
Ta: 0.522 0.500 0.855
Ta: 0.978 0.000 0.355
Ta: 0.978 0.000 0.855
Co: 0.163 0.497 0.002
Co: 0.163 0.503 0.502
Co: 0.164 0.499 0.307
Co: 0.164 0.501 0.807
Co: 0.336 0.001 0.807
Co: 0.336 0.999 0.307
Co: 0.337 0.003 0.502
Co: 0.337 0.997 0.002
Co: 0.663 0.003 0.998
Co: 0.663 0.997 0.498
Co: 0.664 0.001 0.693
Co: 0.664 0.999 0.193
Co: 0.836 0.499 0.193
Co: 0.836 0.501 0.693
Co: 0.837 0.497 0.498
Co: 0.837 0.503 0.998
O: 0.000 0.285 0.750
O: 0.000 0.715 0.250
O: 0.006 0.328 0.414
O: 0.006 0.672 0.914
O: 0.146 0.145 0.250
O: 0.146 0.855 0.750
O: 0.161 0.174 0.904
O: 0.161 0.826 0.404
O: 0.168 0.163 0.573
O: 0.168 0.837 0.073
O: 0.332 0.337 0.073
O: 0.332 0.663 0.573
O: 0.339 0.326 0.404
O: 0.339 0.674 0.904
O: 0.354 0.355 0.750
O: 0.354 0.645 0.250
O: 0.494 0.172 0.914
O: 0.494 0.828 0.414
O: 0.500 0.215 0.250
O: 0.500 0.785 0.750
O: 0.506 0.172 0.586
O: 0.506 0.828 0.086
O: 0.646 0.355 0.750
O: 0.646 0.645 0.250
O: 0.661 0.326 0.096
O: 0.661 0.674 0.596
O: 0.668 0.337 0.427
O: 0.668 0.663 0.927
O: 0.832 0.163 0.927
O: 0.832 0.837 0.427
O: 0.839 0.174 0.596
O: 0.839 0.826 0.096
O: 0.854 0.145 0.250
O: 0.854 0.855 0.750
O: 0.994 0.328 0.086
O: 0.994 0.672 0.586